Simulated X-ray powder pattern
Compound: K2MgMo2H4O10
Radiation: Cu Kα
Structure: DFT lattice parameters and positions (PBE+U)

Cell and atoms:
```
data_K2MgMo2H4O10
_cell_length_a 5.8093
_cell_length_b 6.4154
_cell_length_c 8.0211
_cell_angle_alpha 100.57
_cell_angle_beta 109.41
_cell_angle_gamma 108.21
_symmetry_space_group_name_H-M 'P -1'
_symmetry_Int_Tables_number 2
_symmetry_space_group_name_Hall '-P 1'
loop_
_atom_site_label
_atom_site_type_symbol
_atom_site_fract_x
_atom_site_fract_y
_atom_site_fract_z
K1 K 0.1147 0.1137 0.2932
Mg1 Mg 0.0000 0.5000 0.0000
Mo1 Mo 0.3357 0.4803 0.7799
H1 H 0.1798 0.6491 0.3880
H2 H 0.4294 0.8496 0.0543
O1 O 0.0649 0.6594 0.2695
O2 O 0.2634 0.7484 0.9453
O3 O 0.3089 0.3700 0.0452
O4 O 0.3184 0.2008 0.6865
O5 O 0.3263 0.5982 0.5966
```

Main lines, sorted by position (2θ from 5° to 70°):
h k l	d (Å)	2θ/deg	I/Imax
0 1 0	5.773	15.35	100
1 0 -1	5.270	16.82	42
1 -1 0	4.882	18.17	36
-1 1 1	4.315	20.58	19
1 -1 1	3.803	23.39	29
1 1 -1	3.578	24.89	59
-1 2 1	2.755	32.50	53
1 -1 2	2.717	32.97	25